# LiFeP2HO7
Simulated powder X-ray diffraction pattern, Cu Kα. Input: DFT lattice parameters and positions (PBE+U).

Crystal structure
Lattice parameters (Å, degrees): 6.479 6.645 6.671 89.81 69.52 82.89
Space group P-1 (No. 2)
One atom of each set of equivalent atoms:
Li1 0.237 0.130 0.139 (multiplicity 2)
Fe1 0.398 0.353 0.715 (multiplicity 2)
P1 0.143 0.613 0.178 (multiplicity 2)
P2 0.277 0.844 0.769 (multiplicity 2)
H1 0.152 0.826 0.506 (multiplicity 2)
O1 0.096 0.392 0.680 (multiplicity 2)
O2 0.098 0.900 0.657 (multiplicity 2)
O3 0.121 0.768 0.991 (multiplicity 2)
O4 0.267 0.412 0.061 (multiplicity 2)
O5 0.274 0.719 0.290 (multiplicity 2)
O6 0.370 0.028 0.822 (multiplicity 2)
O7 0.450 0.672 0.639 (multiplicity 2)

Main lines, sorted by position (2θ = 10–80°):
(0 1 0), d = 6.588 Å, 13.4°, intensity 62.0; (1 0 1), d = 5.382 Å, 16.5°, intensity 100.0; (1 1 0), d = 4.764 Å, 18.6°, intensity 31.5; (2 0 1), d = 3.184 Å, 28.0°, intensity 76.9; (0 0 2), d = 3.122 Å, 28.6°, intensity 72.0; (-1 1 1), d = 3.104 Å, 28.8°, intensity 25.1; (1 2 0), d = 3.063 Å, 29.2°, intensity 22.5; (2 1 1), d = 3.008 Å, 29.7°, intensity 39.6; (0 2 -1), d = 2.967 Å, 30.1°, intensity 88.7; (0 2 1), d = 2.863 Å, 31.2°, intensity 61.4